Starting from a structure optimized by DFT (PBE), the powder diffraction line list of Er3AlS6 was calculated for Cu Ka.
No peak broadening, texture or thermal motion is included.

Peak list (6 most intense, 5 to 70 degrees two-theta, low angle first)
2θ/deg, Rel. int., index
17.53, 40, 1 1 1
25.66, 100, 2 2 1
25.98, 55, 1 3 1
38.58, 47, 3 1 2
39.23, 36, 0 4 2
42.76, 35, 3 5 0

Atomic structure:
```
data_Er3AlS6
_chemical_formula_sum 'Er12 Al4 S24'
_space_group_name_H-M_alt 'C m c 21'
_space_group_IT_number 36
_cell_length_a 10.601
_cell_length_b 13.198
_cell_length_c 6.397
_cell_angle_alpha 90.00
_cell_angle_beta 90.00
_cell_angle_gamma 90.00
loop_
_space_group_symop_operation_xyz
'x,y,z'
'-x,-y,z+1/2'
'-x,y,z'
'x,-y,z+1/2'
'x+1/2,y+1/2,z'
'-x+1/2,-y+1/2,z+1/2'
'-x+1/2,y+1/2,z'
'x+1/2,-y+1/2,z+1/2'
loop_
_atom_site_label
_atom_site_fract_x
_atom_site_fract_y
_atom_site_fract_z
_atom_site_occupancy
Er1 0.000 0.098 0.000 1
Er2 0.184 0.400 0.912 1
Al1 0.000 0.299 0.372 1
S1 0.000 0.283 0.723 1
S2 0.000 0.459 0.231 1
S3 0.163 0.029 0.707 1
S4 0.165 0.233 0.197 1
```